For W3NO9, a cell relaxed with PBE+U gives the theoretical powder XRD pattern in this record (copper Kα).

Peak list (12 most intense, 2θ = 10–80°, by intensity)
2θ = 27.38°, I 100.0; 2θ = 13.59°, I 63.7; 2θ = 36.10°, I 57.9; 2θ = 23.07°, I 55.0; 2θ = 55.39°, I 28.2; 2θ = 26.87°, I 24.5; 2θ = 48.40°, I 23.9; 2θ = 54.28°, I 22.7; 2θ = 23.66°, I 17.7; 2θ = 61.85°, I 15.4; 2θ = 69.89°, I 15.4; 2θ = 56.51°, I 14.8

Cell lengths 7.5220, 7.5220, 7.7095 Å; angles 90.00, 90.00, 120.00 degrees
Space group P6_3/mcm (No. 193)
Inequivalent atoms, fractional coordinates:
W1 0.0000 0.4822 0.2500 x6
N1 0.0000 0.0000 0.0000 x2
O1 0.0000 0.5000 0.0000 x6
O2 0.2102 0.4261 0.7500 x12